AcErPdPb: calculated X-ray powder pattern (λ = 1.5418 Å (Cu Kα)), based on a structure optimized by DFT (PBE).
Intensities are scaled so that the largest is 100.

Structural model:
```
data_AcErPdPb
_chemical_formula_sum 'Ac1 Er1 Pd1 Pb1'
_space_group_name_H-M_alt 'P 1'
_space_group_IT_number 1
_cell_length_a 5.4390
_cell_length_b 5.4390
_cell_length_c 5.4390
_cell_angle_alpha 60.00
_cell_angle_beta 60.00
_cell_angle_gamma 60.00
loop_
_space_group_symop_operation_xyz
'x,y,z'
loop_
_atom_site_label
_atom_site_fract_x
_atom_site_fract_y
_atom_site_fract_z
Ac1 0.0000 0.0000 0.0000
Er1 0.5000 0.5000 0.5000
Pd1 0.2500 0.2500 0.2500
Pb1 0.7500 0.7500 0.7500
```

Main lines, low angle first (5° ≤ 2θ ≤ 70°):
2θ = 19.99°, I 5; 2θ = 23.13°, I 1; 2θ = 32.94°, I 100; 2θ = 38.83°, I 3; 2θ = 47.27°, I 18; 2θ = 51.81°, I 2; 2θ = 53.26°, I 1; 2θ = 58.81°, I 39; 2θ = 62.77°, I 1; 2θ = 69.08°, I 12